[1]
Computed PXRD pattern of Ba4Tm6O13 for Cu Kα (weighted mean of Kα1 and Kα2), from a DFT-relaxed cell (PBE, the Materials Project).

Structure:
```
data_Ba4Tm6O13
_cell_length_a 12.3336
_cell_length_b 21.2750
_cell_length_c 6.0655
_cell_angle_alpha 90.00
_cell_angle_beta 90.00
_cell_angle_gamma 90.00
_symmetry_space_group_name_H-M 'I b a 2'
_symmetry_Int_Tables_number 45
_symmetry_space_group_name_Hall 'I 2 -2c'
loop_
_atom_site_label
_atom_site_type_symbol
_atom_site_fract_x
_atom_site_fract_y
_atom_site_fract_z
Ba1 Ba 0.1199 0.1661 0.0000
Ba2 Ba 0.1337 0.3410 0.0008
Tm1 Tm 0.1046 0.0500 0.5107
Tm2 Tm 0.1239 0.2557 0.4995
Tm3 Tm 0.1272 0.4635 0.5739
O1 O 0.0000 0.5000 0.3105
O2 O 0.0022 0.2597 0.7546
O3 O 0.0662 0.0502 0.8646
O4 O 0.1209 0.1476 0.4749
O5 O 0.1310 0.3667 0.5154
O6 O 0.2266 0.4697 0.8798
O7 O 0.2490 0.2453 0.7509
```

Peak list (10 most intense, 10 to 90 degrees two-theta, by intensity)
two_theta  d [Å]  I_rel  index
29.45  3.033  1000  0 0 2
28.96  3.083  238  4 0 0
52.24  1.751  199  2 5 3
41.78  2.162  197  4 0 2
51.63  1.770  154  6 5 1
61.11  1.516  102  0 0 4
42.49  2.128  76  0 10 0
16.67  5.320  70  0 4 0
52.55  1.742  62  0 10 2
43.64  2.074  60  2 9 1

***

[2]
Computed PXRD pattern of BaTm2O4 for Cu Kα (weighted mean of Kα1 and Kα2), from a DFT-relaxed cell (PBE, the Materials Project).

Structure:
```
data_BaTm2O4
_cell_length_a 3.4076
_cell_length_b 11.2192
_cell_length_c 11.3998
_cell_angle_alpha 90.00
_cell_angle_beta 90.00
_cell_angle_gamma 90.00
_symmetry_space_group_name_H-M 'C m c m'
_symmetry_Int_Tables_number 63
_symmetry_space_group_name_Hall '-C 2c 2'
loop_
_atom_site_label
_atom_site_type_symbol
_atom_site_fract_x
_atom_site_fract_y
_atom_site_fract_z
Ba1 Ba 0.0000 0.1106 0.2500
Tm1 Tm 0.0000 0.3646 0.0703
O1 O 0.0000 0.0000 0.0000
O2 O 0.0000 0.2600 0.6006
O3 O 0.0000 0.4333 0.2500
```

Peak list (10 most intense, 10 to 90 degrees two-theta, by intensity)
two_theta  d [Å]  I_rel  index
28.37  3.146  1000  0 2 3
31.61  2.830  350  1 1 2
28.47  3.135  334  1 1 1
39.10  2.304  315  1 3 2
31.91  2.805  310  0 4 0
36.53  2.459  284  1 3 1
61.94  1.498  226  2 2 3
48.74  1.868  207  1 1 5
35.65  2.519  165  1 3 0
54.71  1.678  158  0 6 3

***

[3]
Computed PXRD pattern of Ba2Tm2Zn8O13 for Cu Kα (weighted mean of Kα1 and Kα2), from a DFT-relaxed cell (PBE, the Materials Project).

Structure:
```
data_Ba2Tm2Zn8O13
_cell_length_a 11.1360
_cell_length_b 6.4349
_cell_length_c 10.3381
_cell_angle_alpha 90.00
_cell_angle_beta 90.29
_cell_angle_gamma 90.00
_symmetry_space_group_name_H-M 'C 1 m 1'
_symmetry_Int_Tables_number 8
_symmetry_space_group_name_Hall 'C -2y'
loop_
_atom_site_label
_atom_site_type_symbol
_atom_site_fract_x
_atom_site_fract_y
_atom_site_fract_z
Ba1 Ba 0.0000 0.0000 0.0000
Ba2 Ba 0.2052 0.5000 0.4933
Tm1 Tm 0.0036 0.0000 0.6401
Tm2 Tm 0.1921 0.5000 0.1264
Zn1 Zn 0.0364 0.5000 0.8098
Zn2 Zn 0.1985 0.0000 0.2760
Zn3 Zn 0.2658 0.2481 0.8158
Zn4 Zn 0.3593 0.0000 0.0547
Zn5 Zn 0.3938 0.0000 0.5715
Zn6 Zn 0.4494 0.2593 0.3121
O1 O 0.0289 0.5000 0.9999
O2 O 0.1128 0.2548 0.7186
O3 O 0.1256 0.2665 0.2821
O4 O 0.2648 0.2479 0.0058
O5 O 0.3599 0.0000 0.7549
O6 O 0.3665 0.5000 0.7741
O7 O 0.3702 0.0000 0.2524
O8 O 0.3772 0.5000 0.2241
O9 O 0.4172 0.2706 0.5026
```

Peak list (10 most intense, 10 to 90 degrees two-theta, by intensity)
two_theta  d [Å]  I_rel  index
30.49  2.932  1000  2 0 -3
33.31  2.690  993  2 2 -1
32.77  2.733  725  0 2 2
27.74  3.216  659  0 2 0
57.29  1.608  407  0 4 0
32.87  2.725  405  3 1 2
50.74  1.799  244  5 1 -3
30.58  2.924  221  2 0 3
55.43  1.658  205  2 2 5
55.25  1.663  201  2 2 -5

***

Number 1 is which compound?
Ba4Tm6O13

***

What is the formula in the second record?
BaTm2O4